For Gd2Y2CBr5, a cell relaxed with GGA-PBE gives the calculated powder X-ray diffraction pattern in this record (Cu Kα X-rays).
Peak positions follow from Bragg's law for the DFT cell and can differ from measured ones.

The 6 most intense peaks (10° ≤ 2θ ≤ 90°), most intense first:
hkl 1 1 -2, 2θ = 31.92°, I 1000; hkl 6 0 0, 2θ = 30.73°, I 492; hkl 2 0 0, 2θ = 10.14°, I 409; hkl 5 1 0, 2θ = 34.71°, I 312; hkl 5 1 2, 2θ = 44.78°, I 298; hkl 7 1 -2, 2θ = 45.02°, I 295

a = 17.9004 Å, b = 3.8432 Å, c = 8.1986 Å
α = 90.00°, β = 102.80°, γ = 90.00°
Space group C2/m (No. 12)
Unique sites:
Gd: 0.0011 0.0000 0.2972 (multiplicity 4)
Y: 0.1376 0.5000 0.5711 (multiplicity 4)
C: 0.0000 0.5000 0.5000 (multiplicity 2)
Br: 0.0000 0.5000 0.0000 (multiplicity 2)
Br: 0.1643 0.0000 0.8360 (multiplicity 4)
Br: 0.1710 0.0000 0.3314 (multiplicity 4)



For TmTaN2O, a cell relaxed with GGA-PBE gives the calculated powder X-ray diffraction pattern in this record (Cu Kα X-rays).
Peak positions follow from Bragg's law for the DFT cell and can differ from measured ones.

The 6 most intense peaks (10° ≤ 2θ ≤ 90°), most intense first:
hkl 2 2 -2, 2θ = 32.34°, I 1000; hkl 0 2 2, 2θ = 32.21°, I 995; hkl 2 0 -4, 2θ = 32.87°, I 503; hkl 2 0 0, 2θ = 31.57°, I 440; hkl 0 4 0, 2θ = 46.39°, I 418; hkl 2 4 -4, 2θ = 58.01°, I 213

a = 7.8311 Å, b = 7.8321 Å, c = 10.8986 Å
α = 90.00°, β = 133.63°, γ = 90.00°
Space group P2_1/c (No. 14)
Unique sites:
Tm: 0.0582 0.2386 0.0288 (multiplicity 4)
Tm: 0.4397 0.7403 0.4704 (multiplicity 4)
Ta: 0.0192 0.0044 0.2621 (multiplicity 4)
Ta: 0.4830 0.5058 0.2298 (multiplicity 4)
N: 0.0390 0.7502 0.2177 (multiplicity 4)
N: 0.1820 0.5594 0.9997 (multiplicity 4)
N: 0.3094 0.0559 0.3102 (multiplicity 4)
N: 0.4588 0.2475 0.6782 (multiplicity 4)
O: 0.1882 0.5505 0.4994 (multiplicity 4)
O: 0.3219 0.0478 0.8228 (multiplicity 4)



For LaSnGePd, a cell relaxed with GGA-PBE gives the calculated powder X-ray diffraction pattern in this record (Cu Kα X-rays).
Peak positions follow from Bragg's law for the DFT cell and can differ from measured ones.

The 6 most intense peaks (10° ≤ 2θ ≤ 90°), most intense first:
hkl 1 5 0, 2θ = 31.41°, I 1000; hkl 0 6 1, 2θ = 35.15°, I 478; hkl 1 1 1, 2θ = 28.14°, I 374; hkl 0 0 2, 2θ = 39.00°, I 333; hkl 2 0 0, 2θ = 40.16°, I 307; hkl 2 6 1, 2θ = 54.42°, I 275

a = 4.4908 Å, b = 18.3790 Å, c = 4.6187 Å
α = 90.00°, β = 90.00°, γ = 90.00°
Space group Cmcm (No. 63)
Unique sites:
La: 0.0000 0.1196 0.2500 (multiplicity 4)
Sn: 0.0000 0.4558 0.2500 (multiplicity 4)
Ge: 0.0000 0.2523 0.7500 (multiplicity 4)
Pd: 0.0000 0.3127 0.2500 (multiplicity 4)



For GdYCSe, a cell relaxed with GGA-PBE gives the calculated powder X-ray diffraction pattern in this record (Cu Kα X-rays).
Peak positions follow from Bragg's law for the DFT cell and can differ from measured ones.

The 6 most intense peaks (10° ≤ 2θ ≤ 90°), most intense first:
hkl 1 0 3, 2θ = 33.93°, I 1000; hkl 1 1 0, 2θ = 48.05°, I 282; hkl 1 0 0, 2θ = 27.19°, I 278; hkl 2 0 3, 2θ = 60.12°, I 189; hkl 2 1 3, 2θ = 80.41°, I 163; hkl 1 1 6, 2θ = 64.57°, I 151

a = 3.7868 Å, b = 3.7868 Å, c = 13.3775 Å
α = 90.00°, β = 90.00°, γ = 120.00°
Space group P6_3mc (No. 186)
Unique sites:
Gd: 0.3333 0.6667 0.0000 (multiplicity 2)
Y: 0.3333 0.6667 0.2988 (multiplicity 2)
C: 0.0000 0.0000 0.3997 (multiplicity 2)
Se: 0.3333 0.6667 0.6516 (multiplicity 2)



For BaSrCd2Sb4, a cell relaxed with GGA-PBE gives the calculated powder X-ray diffraction pattern in this record (Cu Kα X-rays).
Peak positions follow from Bragg's law for the DFT cell and can differ from measured ones.

The 6 most intense peaks (10° ≤ 2θ ≤ 90°), most intense first:
hkl 1 1 4, 2θ = 31.44°, I 1000; hkl 2 0 0, 2θ = 39.39°, I 387; hkl 1 0 5, 2θ = 26.97°, I 299; hkl 3 1 4, 2θ = 66.50°, I 222; hkl 1 0 9, 2θ = 39.21°, I 183; hkl 1 1 8, 2θ = 41.12°, I 154

a = 4.5748 Å, b = 4.5748 Å, c = 23.9117 Å
α = 90.00°, β = 90.00°, γ = 90.00°
Space group I4mm (No. 107)
Unique sites:
Ba: 0.0000 0.0000 0.0000 (multiplicity 2)
Sr: 0.0000 0.0000 0.7751 (multiplicity 2)
Cd: 0.0000 0.5000 0.1419 (multiplicity 4)
Sb: 0.0000 0.0000 0.2224 (multiplicity 2)
Sb: 0.0000 0.0000 0.5633 (multiplicity 2)
Sb: 0.0000 0.5000 0.3837 (multiplicity 4)



For DyNbW2C3, a cell relaxed with GGA-PBE gives the calculated powder X-ray diffraction pattern in this record (Cu Kα X-rays).
Peak positions follow from Bragg's law for the DFT cell and can differ from measured ones.

The 6 most intense peaks (10° ≤ 2θ ≤ 90°), most intense first:
hkl 1 1 1, 2θ = 35.22°, I 1000; hkl 3 1 -1, 2θ = 37.93°, I 776; hkl 4 0 0, 2θ = 33.65°, I 424; hkl 2 0 -2, 2θ = 33.11°, I 385; hkl 2 0 2, 2θ = 43.40°, I 314; hkl 3 1 -3, 2θ = 58.65°, I 306

a = 11.2605 Å, b = 3.2196 Å, c = 5.4924 Å
α = 90.00°, β = 108.87°, γ = 90.00°
Space group Cm (No. 8)
Unique sites:
Dy: 0.0000 0.0000 0.0000 (multiplicity 2)
Nb: 0.2261 0.0000 0.6760 (multiplicity 2)
W: 0.2550 0.5000 0.1584 (multiplicity 2)
W: 0.4528 0.0000 0.4849 (multiplicity 2)
C: 0.1108 0.5000 0.8042 (multiplicity 2)
C: 0.3486 0.5000 0.5678 (multiplicity 2)
C: 0.3538 0.0000 0.0750 (multiplicity 2)



For SmPt2, a cell relaxed with GGA-PBE gives the calculated powder X-ray diffraction pattern in this record (Cu Kα X-rays).
Peak positions follow from Bragg's law for the DFT cell and can differ from measured ones.

The 6 most intense peaks (10° ≤ 2θ ≤ 90°), most intense first:
hkl 3 1 1, 2θ = 38.61°, I 1000; hkl 2 2 2, 2θ = 40.40°, I 489; hkl 5 1 1, 2θ = 62.39°, I 331; hkl 4 4 0, 2θ = 68.65°, I 301; hkl 2 2 0, 2θ = 32.75°, I 198; hkl 6 2 2, 2θ = 82.79°, I 192

a = 7.7335 Å, b = 7.7335 Å, c = 7.7335 Å
α = 90.00°, β = 90.00°, γ = 90.00°
Space group Fd-3m (No. 227, origin choice 2)
Unique sites:
Sm: 0.1250 0.1250 0.1250 (multiplicity 8)
Pt: 0.0000 0.0000 0.5000 (multiplicity 16)



For TbTmSbCl2, a cell relaxed with GGA-PBE gives the calculated powder X-ray diffraction pattern in this record (Cu Kα X-rays).
Peak positions follow from Bragg's law for the DFT cell and can differ from measured ones.

The 6 most intense peaks (10° ≤ 2θ ≤ 90°), most intense first:
hkl 1 0 2, 2θ = 30.26°, I 1000; hkl 1 0 1, 2θ = 26.32°, I 402; hkl 0 1 4, 2θ = 42.82°, I 389; hkl 1 1 0, 2θ = 43.82°, I 355; hkl 1 0 3, 2θ = 35.96°, I 292; hkl 0 2 2, 2θ = 54.18°, I 189

a = 4.1315 Å, b = 4.1315 Å, c = 10.4645 Å
α = 90.00°, β = 90.00°, γ = 120.00°
Space group P3m1 (No. 156)
Unique sites:
Tb: 0.0000 0.0000 0.0000 (multiplicity 1)
Tm: 0.3333 0.6667 0.3387 (multiplicity 1)
Sb: 0.6667 0.3333 0.1735 (multiplicity 1)
Cl: 0.0000 0.0000 0.4825 (multiplicity 1)
Cl: 0.3333 0.6667 0.8508 (multiplicity 1)



For Cu9Sn2, a cell relaxed with GGA-PBE gives the calculated powder X-ray diffraction pattern in this record (Cu Kα X-rays).
Peak positions follow from Bragg's law for the DFT cell and can differ from measured ones.

The 6 most intense peaks (10° ≤ 2θ ≤ 90°), most intense first:
hkl 1 0 6, 2θ = 40.21°, I 1000; hkl 1 0 5, 2θ = 39.16°, I 472; hkl 0 1 11, 2θ = 47.70°, I 459; hkl 0 1 12, 2θ = 49.57°, I 329; hkl 1 1 0, 2θ = 66.06°, I 295; hkl 0 0 17, 2θ = 46.21°, I 187

a = 2.8293 Å, b = 2.8293 Å, c = 33.3946 Å
α = 90.00°, β = 90.00°, γ = 120.00°
Space group P-3m1 (No. 164)
Unique sites:
Cu: 0.0000 0.0000 0.0000 (multiplicity 1)
Cu: 0.0000 0.0000 0.1703 (multiplicity 2)
Cu: 0.3333 0.6667 0.1133 (multiplicity 2)
Cu: 0.3333 0.6667 0.7726 (multiplicity 2)
Cu: 0.3333 0.6667 0.9433 (multiplicity 2)
Sn: 0.3333 0.6667 0.2971 (multiplicity 2)



For Zn, a cell relaxed with GGA-PBE gives the calculated powder X-ray diffraction pattern in this record (Cu Kα X-rays).
Peak positions follow from Bragg's law for the DFT cell and can differ from measured ones.

The 6 most intense peaks (10° ≤ 2θ ≤ 90°), most intense first:
hkl 1 0 4, 2θ = 41.99°, I 1000; hkl 0 1 5, 2θ = 44.14°, I 871; hkl 0 0 9, 2θ = 39.71°, I 553; hkl 1 0 1, 2θ = 38.18°, I 375; hkl 1 1 9, 2θ = 82.19°, I 354; hkl 1 1 0, 2θ = 68.49°, I 303

a = 2.7399 Å, b = 2.7399 Å, c = 20.4284 Å
α = 90.00°, β = 90.00°, γ = 120.00°
Space group R-3m (No. 166, hexagonal axes)
Unique sites:
Zn: 0.0000 0.0000 0.0000 (multiplicity 3)
Zn: 0.0000 0.0000 0.2220 (multiplicity 6)



For GaFeCoPd, a cell relaxed with GGA-PBE gives the calculated powder X-ray diffraction pattern in this record (Cu Kα X-rays).
Peak positions follow from Bragg's law for the DFT cell and can differ from measured ones.

The 6 most intense peaks (10° ≤ 2θ ≤ 90°), most intense first:
hkl 2 2 0, 2θ = 42.98°, I 1000; hkl 4 2 2, 2θ = 78.77°, I 308; hkl 4 0 0, 2θ = 62.41°, I 156; hkl 1 1 1, 2θ = 25.93°, I 72; hkl 3 1 1, 2θ = 50.88°, I 36; hkl 3 3 1, 2θ = 68.75°, I 16

a = 5.9517 Å, b = 5.9517 Å, c = 5.9517 Å
α = 90.00°, β = 90.00°, γ = 90.00°
Space group F-43m (No. 216)
Unique sites:
Ga: 0.0000 0.0000 0.0000 (multiplicity 4)
Fe: 0.2500 0.2500 0.7500 (multiplicity 4)
Co: 0.0000 0.0000 0.5000 (multiplicity 4)
Pd: 0.2500 0.2500 0.2500 (multiplicity 4)



For GdMgZn, a cell relaxed with GGA-PBE gives the calculated powder X-ray diffraction pattern in this record (Cu Kα X-rays).
Peak positions follow from Bragg's law for the DFT cell and can differ from measured ones.

The 6 most intense peaks (10° ≤ 2θ ≤ 90°), most intense first:
hkl 1 0 3, 2θ = 35.29°, I 1000; hkl 1 0 1, 2θ = 28.63°, I 532; hkl 1 0 2, 2θ = 31.27°, I 441; hkl 1 1 0, 2θ = 48.98°, I 370; hkl 1 0 0, 2θ = 27.69°, I 327; hkl 0 0 3, 2θ = 21.45°, I 306

a = 3.7198 Å, b = 3.7198 Å, c = 12.4301 Å
α = 90.00°, β = 90.00°, γ = 120.00°
Space group P-6m2 (No. 187)
Unique sites:
Gd: 0.0000 0.0000 0.1620 (multiplicity 2)
Mg: 0.3333 0.6667 0.3649 (multiplicity 2)
Zn: 0.3333 0.6667 0.0000 (multiplicity 1)
Zn: 0.6667 0.3333 0.5000 (multiplicity 1)